No. 1
This entry pairs a crystal structure of PmHoAs2Rh5 with its computed PXRD pattern. Radiation: λ = 1.5418 Å (Cu Kα). Structure: a PBE-relaxed structure.
Neutral-atom scattering factors, no anomalous dispersion.

Atomic structure:
a b c (Å): 4.2623 4.2623 8.8150
angles (deg): 90.00 90.00 90.00
Fractional positions:
Pm1 0.0000 0.0000 0.0000
Ho1 0.0000 0.0000 0.5000
As1 0.5000 0.5000 0.3545
As2 0.5000 0.5000 0.6455
Rh1 0.0000 0.5000 0.2370
Rh2 0.0000 0.5000 0.7630
Rh3 0.5000 0.0000 0.2370
Rh4 0.5000 0.0000 0.7630
Rh5 0.5000 0.5000 0.0000

The 12 most intense peaks (2θ = 10–80°), in order of rising 2θ:
d 3.064, 29.15°, intensity 16
d 2.488, 36.10°, intensity 100
d 2.419, 37.16°, intensity 10
d 2.204, 40.95°, intensity 13
d 2.131, 42.41°, intensity 50
d 2.104, 42.99°, intensity 11
d 1.958, 46.38°, intensity 9
d 1.532, 60.43°, intensity 16
d 1.507, 61.54°, intensity 16
d 1.321, 71.43°, intensity 17
d 1.289, 73.47°, intensity 24
d 1.244, 76.60°, intensity 8

=====

No. 2
This entry pairs a crystal structure of Sr5Zn2 with its computed PXRD pattern. Radiation: λ = 1.5418 Å (Cu Kα). Structure: a PBE-relaxed structure.
Neutral-atom scattering factors, no anomalous dispersion.

Atomic structure:
a b c (Å): 10.0992 10.0992 8.3731
angles (deg): 97.16 97.16 43.80
Fractional positions:
Sr1 0.0778 0.9222 0.7500
Sr2 0.1287 0.3056 0.3084
Sr3 0.3045 0.5103 0.0790
Sr4 0.3056 0.1287 0.8084
Sr5 0.4897 0.6955 0.4210
Sr6 0.5103 0.3045 0.5790
Sr7 0.6944 0.8713 0.1916
Sr8 0.6955 0.4897 0.9210
Sr9 0.8713 0.6944 0.6916
Sr10 0.9222 0.0778 0.2500
Zn1 0.0895 0.6886 0.4192
Zn2 0.3114 0.9105 0.0808
Zn3 0.6886 0.0895 0.9192
Zn4 0.9105 0.3114 0.5808

The 12 most intense peaks (2θ = 10–80°), in order of rising 2θ:
d 3.430, 25.98°, intensity 55
d 3.329, 26.78°, intensity 100
d 3.308, 26.95°, intensity 35
d 3.277, 27.21°, intensity 27
d 3.161, 28.23°, intensity 47
d 2.984, 29.94°, intensity 33
d 2.970, 30.09°, intensity 41
d 2.906, 30.77°, intensity 29
d 2.835, 31.56°, intensity 30
d 2.658, 33.72°, intensity 24
d 2.617, 34.27°, intensity 41
d 2.015, 44.98°, intensity 30

=====

No. 3
This entry pairs a crystal structure of DyThGaSe with its computed PXRD pattern. Radiation: λ = 1.5418 Å (Cu Kα). Structure: a PBE-relaxed structure.
Neutral-atom scattering factors, no anomalous dispersion.

Atomic structure:
a b c (Å): 7.3230 7.3230 7.3230
angles (deg): 33.37 33.37 33.37
Fractional positions:
Dy1 0.0000 0.0000 0.0000
Th1 0.4960 0.4960 0.4960
Ga1 0.7459 0.7459 0.7459
Se1 0.2515 0.2515 0.2515

The 12 most intense peaks (2θ = 10–80°), in order of rising 2θ:
d 3.454, 25.79°, intensity 9
d 3.436, 25.93°, intensity 26
d 2.979, 29.99°, intensity 100
d 2.111, 42.84°, intensity 38
d 2.102, 43.02°, intensity 38
d 1.795, 50.87°, intensity 13
d 1.727, 53.02°, intensity 7
d 1.718, 53.33°, intensity 20
d 1.490, 62.33°, intensity 12
d 1.335, 70.57°, intensity 17
d 1.330, 70.84°, intensity 17
d 1.215, 78.73°, intensity 13

=====

No. 4
This entry pairs a crystal structure of PaCdAu with its computed PXRD pattern. Radiation: λ = 1.5418 Å (Cu Kα). Structure: a PBE-relaxed structure.
Neutral-atom scattering factors, no anomalous dispersion.

Atomic structure:
a b c (Å): 4.9229 4.9229 3.1596
angles (deg): 90.00 90.00 120.00
Fractional positions:
Pa1 0.0000 0.0000 0.0000
Cd1 0.3333 0.6667 0.5000
Au1 0.6667 0.3333 0.5000

The 12 most intense peaks (2θ = 10–80°), in order of rising 2θ:
d 4.263, 20.84°, intensity 12
d 2.538, 35.36°, intensity 100
d 2.461, 36.50°, intensity 88
d 2.132, 42.40°, intensity 2
d 1.942, 46.78°, intensity 2
d 1.767, 51.73°, intensity 34
d 1.611, 57.16°, intensity 2
d 1.580, 58.42°, intensity 8
d 1.435, 64.97°, intensity 35
d 1.421, 65.70°, intensity 16
d 1.330, 70.88°, intensity 26
d 1.231, 77.57°, intensity 10

=====

No. 5
This entry pairs a crystal structure of Pm4Sn5Ir2 with its computed PXRD pattern. Radiation: λ = 1.5418 Å (Cu Kα). Structure: a PBE-relaxed structure.
Neutral-atom scattering factors, no anomalous dispersion.

Atomic structure:
a b c (Å): 7.7735 3.9636 9.3301
angles (deg): 90.00 91.84 90.00
Fractional positions:
Pm1 0.2023 0.0000 0.3511
Pm2 0.2237 0.0000 0.9205
Pm3 0.7763 0.0000 0.0795
Pm4 0.7977 0.0000 0.6489
Sn1 0.1321 0.5000 0.6347
Sn2 0.4427 0.5000 0.1616
Sn3 0.5000 0.5000 0.5000
Sn4 0.5573 0.5000 0.8384
Sn5 0.8679 0.5000 0.3653
Ir1 0.0822 0.5000 0.1311
Ir2 0.9178 0.5000 0.8689

The 12 most intense peaks (2θ = 10–80°), in order of rising 2θ:
d 7.769, 11.39°, intensity 42
d 6.066, 14.60°, intensity 23
d 2.835, 31.56°, intensity 79
d 2.795, 32.02°, intensity 100
d 2.774, 32.27°, intensity 94
d 2.590, 34.64°, intensity 25
d 2.446, 36.74°, intensity 38
d 2.409, 37.33°, intensity 37
d 2.331, 38.62°, intensity 29
d 2.296, 39.25°, intensity 31
d 2.234, 40.38°, intensity 35
d 1.982, 45.78°, intensity 45

=====

No. 6
This entry pairs a crystal structure of SrZnPb2F8 with its computed PXRD pattern. Radiation: λ = 1.5418 Å (Cu Kα). Structure: a PBE-relaxed structure.
Neutral-atom scattering factors, no anomalous dispersion.

Atomic structure:
a b c (Å): 4.2229 7.9666 5.7387
angles (deg): 90.00 95.60 90.00
Fractional positions:
Sr1 0.0000 0.0000 0.0000
Zn1 0.0000 0.5000 0.0000
Pb1 0.5000 0.2635 0.5000
Pb2 0.5000 0.7365 0.5000
F1 0.0459 0.2749 0.7690
F2 0.0459 0.7251 0.7690
F3 0.4080 0.5000 0.2137
F4 0.4925 0.0000 0.7524
F5 0.5075 0.0000 0.2476
F6 0.5920 0.5000 0.7863
F7 0.9541 0.2749 0.2310
F8 0.9541 0.7251 0.2310

The 12 most intense peaks (2θ = 10–80°), in order of rising 2θ:
d 5.711, 15.52°, intensity 29
d 4.203, 21.14°, intensity 17
d 3.555, 25.05°, intensity 62
d 3.267, 27.30°, intensity 100
d 3.238, 27.55°, intensity 51
d 2.891, 30.93°, intensity 39
d 2.856, 31.32°, intensity 19
d 2.103, 43.01°, intensity 69
d 1.992, 45.55°, intensity 18
d 1.967, 46.16°, intensity 35
d 1.814, 50.30°, intensity 20
d 1.724, 53.12°, intensity 16